Theoretical powder diffractogram of NpBe3Au10 for Cu Kα, 1.54184 Å, from a structure optimized by DFT (GGA-PBE).
Lines closer than 0.1° are merged.

Main lines, sorted by position (2θ from 10° to 80°):
d 2.790, 32.08 deg, intensity 54; d 2.547, 35.24 deg, intensity 27; d 2.401, 37.46 deg, intensity 100; d 2.206, 40.92 deg, intensity 17; d 2.109, 42.88 deg, intensity 45; d 1.881, 48.39 deg, intensity 14; d 1.513, 61.27 deg, intensity 19; d 1.470, 63.24 deg, intensity 32; d 1.369, 68.52 deg, intensity 14; d 1.273, 74.52 deg, intensity 16

Cell and atoms:
a = 8.822 Å, b = 8.822 Å, c = 8.822 Å
α = 60.00°, β = 60.00°, γ = 60.00°
Fractional positions:
Np (0.250, 0.250, 0.250)
Np (0.750, 0.750, 0.750)
Be (0.236, 0.236, 0.764)
Be (0.236, 0.764, 0.236)
Be (0.236, 0.764, 0.764)
Be (0.764, 0.236, 0.236)
Be (0.764, 0.236, 0.764)
Be (0.764, 0.764, 0.236)
Au (0.113, 0.113, 0.113)
Au (0.113, 0.113, 0.661)
Au (0.113, 0.661, 0.113)
Au (0.161, 0.500, 0.500)
Au (0.161, 0.500, 0.839)
Au (0.161, 0.839, 0.500)
Au (0.339, 0.887, 0.887)
Au (0.500, 0.161, 0.500)
Au (0.500, 0.161, 0.839)
Au (0.500, 0.500, 0.161)
Au (0.500, 0.500, 0.839)
Au (0.500, 0.839, 0.161)
Au (0.500, 0.839, 0.500)
Au (0.661, 0.113, 0.113)
Au (0.839, 0.161, 0.500)
Au (0.839, 0.500, 0.161)
Au (0.839, 0.500, 0.500)
Au (0.887, 0.339, 0.887)
Au (0.887, 0.887, 0.339)
Au (0.887, 0.887, 0.887)

Theoretical powder diffractogram of NpBe5Au7 for Cu Kα, 1.54184 Å, from a structure optimized by DFT (GGA-PBE).
Lines closer than 0.1° are merged.

Main lines, sorted by position (2θ from 10° to 80°):
d 4.445, 19.98 deg, intensity 35; d 3.141, 28.41 deg, intensity 24; d 3.119, 28.62 deg, intensity 16; d 2.811, 31.84 deg, intensity 19; d 2.553, 35.16 deg, intensity 100; d 2.519, 35.65 deg, intensity 52; d 2.215, 40.74 deg, intensity 43; d 2.213, 40.78 deg, intensity 49; d 1.461, 63.71 deg, intensity 18; d 1.388, 67.50 deg, intensity 20

Cell and atoms:
a = 6.768 Å, b = 6.768 Å, c = 6.768 Å
α = 136.31°, β = 98.09°, γ = 97.83°
Fractional positions:
Np (0.000, 0.000, 0.000)
Be (0.489, 0.491, 0.510)
Be (0.489, 0.980, 0.998)
Be (0.760, 0.260, 0.500)
Be (0.982, 0.491, 0.002)
Be (0.982, 0.980, 0.490)
Au (0.156, 0.461, 0.694)
Au (0.218, 0.718, 0.500)
Au (0.343, 0.343, 0.000)
Au (0.360, 0.020, 0.340)
Au (0.672, 0.672, 0.000)
Au (0.679, 0.020, 0.660)
Au (0.767, 0.461, 0.306)

Theoretical powder diffractogram of BePAu for Cu Kα, 1.54184 Å, from a structure optimized by DFT (GGA-PBE).
Lines closer than 0.1° are merged.

Main lines, sorted by position (2θ from 10° to 80°):
d 4.445, 19.97 deg, intensity 100; d 3.728, 23.87 deg, intensity 84; d 3.224, 27.67 deg, intensity 43; d 3.212, 27.77 deg, intensity 90; d 2.856, 31.32 deg, intensity 94; d 2.605, 34.43 deg, intensity 88; d 2.433, 36.94 deg, intensity 57; d 2.223, 40.59 deg, intensity 38; d 2.134, 42.34 deg, intensity 82; d 1.828, 49.87 deg, intensity 53

Cell and atoms:
a = 4.445 Å, b = 3.728 Å, c = 6.424 Å
α = 90.00°, β = 90.00°, γ = 90.00°
Fractional positions:
Be (0.000, 0.239, 0.000)
Be (0.000, 0.761, 0.500)
P (0.000, 0.273, 0.670)
P (0.000, 0.727, 0.170)
Au (0.500, 0.068, 0.591)
Au (0.500, 0.932, 0.091)

Theoretical powder diffractogram of Rb2BeP2Au for Cu Kα, 1.54184 Å, from a structure optimized by DFT (GGA-PBE).
Lines closer than 0.1° are merged.

Main lines, sorted by position (2θ from 10° to 80°):
d 5.670, 15.63 deg, intensity 100; d 4.539, 19.56 deg, intensity 48; d 3.829, 23.23 deg, intensity 39; d 3.570, 24.94 deg, intensity 33; d 3.462, 25.73 deg, intensity 34; d 2.692, 33.28 deg, intensity 35; d 2.577, 34.82 deg, intensity 56; d 2.523, 35.59 deg, intensity 54; d 2.420, 37.16 deg, intensity 34; d 2.050, 44.18 deg, intensity 40

Cell and atoms:
a = 11.468 Å, b = 11.468 Å, c = 11.468 Å
α = 150.29°, β = 41.91°, γ = 151.12°
Fractional positions:
Rb (0.140, 0.232, 0.372)
Rb (0.360, 0.732, 0.091)
Rb (0.640, 0.268, 0.909)
Rb (0.860, 0.768, 0.628)
Be (0.250, 0.750, 0.500)
Be (0.750, 0.250, 0.500)
P (0.061, 0.706, 0.768)
P (0.439, 0.206, 0.645)
P (0.561, 0.794, 0.355)
P (0.939, 0.294, 0.232)
Au (0.250, 0.250, 0.000)
Au (0.750, 0.750, 0.000)

Theoretical powder diffractogram of Be2PbAu9 for Cu Kα, 1.54184 Å, from a structure optimized by DFT (GGA-PBE).
Lines closer than 0.1° are merged.

Main lines, sorted by position (2θ from 10° to 80°):
d 2.694, 33.25 deg, intensity 30; d 2.583, 34.73 deg, intensity 100; d 2.188, 41.26 deg, intensity 33; d 2.058, 44.00 deg, intensity 27; d 2.007, 45.18 deg, intensity 9; d 1.875, 48.57 deg, intensity 16; d 1.539, 60.13 deg, intensity 11; d 1.386, 67.60 deg, intensity 15; d 1.333, 70.69 deg, intensity 11; d 1.268, 74.90 deg, intensity 14

Cell and atoms:
a = 8.231 Å, b = 8.231 Å, c = 3.749 Å
α = 90.00°, β = 90.00°, γ = 120.00°
Fractional positions:
Be (0.333, 0.667, 0.000)
Be (0.667, 0.333, 0.000)
Pb (0.000, 0.000, 0.000)
Au (0.000, 0.500, 0.000)
Au (0.205, 0.410, 0.500)
Au (0.205, 0.795, 0.500)
Au (0.410, 0.205, 0.500)
Au (0.500, 0.000, 0.000)
Au (0.500, 0.500, 0.000)
Au (0.590, 0.795, 0.500)
Au (0.795, 0.205, 0.500)
Au (0.795, 0.590, 0.500)

Theoretical powder diffractogram of Be2Pb3Au9 for Cu Kα, 1.54184 Å, from a structure optimized by DFT (GGA-PBE).
Lines closer than 0.1° are merged.

Main lines, sorted by position (2θ from 10° to 80°):
d 2.737, 32.72 deg, intensity 31; d 2.618, 34.25 deg, intensity 93; d 2.589, 34.65 deg, intensity 58; d 2.450, 36.69 deg, intensity 100; d 2.261, 39.87 deg, intensity 53; d 2.072, 43.69 deg, intensity 22; d 1.605, 57.40 deg, intensity 39; d 1.592, 57.92 deg, intensity 24; d 1.466, 63.43 deg, intensity 20; d 1.364, 68.81 deg, intensity 45

Cell and atoms:
a = 6.421 Å, b = 6.421 Å, c = 15.535 Å
α = 90.00°, β = 90.00°, γ = 120.00°
Fractional positions:
Be (0.333, 0.667, 0.169)
Be (0.333, 0.667, 0.331)
Be (0.667, 0.333, 0.669)
Be (0.667, 0.333, 0.831)
Pb (0.000, 0.000, 0.250)
Pb (0.000, 0.000, 0.750)
Pb (0.333, 0.667, 0.576)
Pb (0.333, 0.667, 0.924)
Pb (0.667, 0.333, 0.076)
Pb (0.667, 0.333, 0.424)
Au (0.030, 0.515, 0.750)
Au (0.157, 0.314, 0.081)
Au (0.157, 0.314, 0.419)
Au (0.157, 0.843, 0.081)
Au (0.157, 0.843, 0.419)
Au (0.314, 0.157, 0.581)
Au (0.314, 0.157, 0.919)
Au (0.485, 0.515, 0.750)
Au (0.485, 0.970, 0.750)
Au (0.515, 0.030, 0.250)
Au (0.515, 0.485, 0.250)
Au (0.686, 0.843, 0.081)
Au (0.686, 0.843, 0.419)
Au (0.843, 0.157, 0.581)
Au (0.843, 0.157, 0.919)
Au (0.843, 0.686, 0.581)
Au (0.843, 0.686, 0.919)
Au (0.970, 0.485, 0.250)

Theoretical powder diffractogram of Be2Pd3Au for Cu Kα, 1.54184 Å, from a structure optimized by DFT (GGA-PBE).
Lines closer than 0.1° are merged.

Main lines, sorted by position (2θ from 10° to 80°):
d 2.705, 33.11 deg, intensity 64; d 2.492, 36.03 deg, intensity 39; d 2.448, 36.71 deg, intensity 61; d 2.146, 42.11 deg, intensity 100; d 1.987, 45.65 deg, intensity 58; d 1.554, 59.49 deg, intensity 36; d 1.405, 66.54 deg, intensity 19; d 1.270, 74.72 deg, intensity 24; d 1.247, 76.37 deg, intensity 14; d 1.224, 78.06 deg, intensity 16

Cell and atoms:
a = 2.811 Å, b = 2.811 Å, c = 9.970 Å
α = 90.00°, β = 90.00°, γ = 90.00°
Fractional positions:
Be (0.000, 0.000, 0.149)
Be (0.000, 0.000, 0.851)
Pd (0.500, 0.500, 0.000)
Pd (0.500, 0.500, 0.283)
Pd (0.500, 0.500, 0.717)
Au (0.000, 0.000, 0.500)

Theoretical powder diffractogram of Be4PdAu for Cu Kα, 1.54184 Å, from a structure optimized by DFT (GGA-PBE).
Lines closer than 0.1° are merged.

Main lines, sorted by position (2θ from 10° to 80°):
d 3.660, 24.32 deg, intensity 100; d 3.169, 28.15 deg, intensity 9; d 2.241, 40.24 deg, intensity 85; d 1.911, 47.58 deg, intensity 63; d 1.830, 49.83 deg, intensity 3; d 1.585, 58.22 deg, intensity 12; d 1.454, 64.03 deg, intensity 21; d 1.417, 65.90 deg, intensity 4; d 1.294, 73.14 deg, intensity 29; d 1.220, 78.39 deg, intensity 20

Cell and atoms:
a = 4.482 Å, b = 4.482 Å, c = 4.482 Å
α = 60.00°, β = 60.00°, γ = 60.00°
Fractional positions:
Be (0.376, 0.376, 0.376)
Be (0.376, 0.376, 0.873)
Be (0.376, 0.873, 0.376)
Be (0.873, 0.376, 0.376)
Pd (0.750, 0.750, 0.750)
Au (0.000, 0.000, 0.000)

Theoretical powder diffractogram of BePd4Au for Cu Kα, 1.54184 Å, from a structure optimized by DFT (GGA-PBE).
Lines closer than 0.1° are merged.

Main lines, sorted by position (2θ from 10° to 80°):
d 8.433, 10.49 deg, intensity 29; d 2.853, 31.35 deg, intensity 23; d 2.471, 36.35 deg, intensity 45; d 2.426, 37.06 deg, intensity 52; d 2.327, 38.70 deg, intensity 43; d 2.266, 39.78 deg, intensity 100; d 2.223, 40.59 deg, intensity 23; d 2.197, 41.09 deg, intensity 26; d 2.108, 42.90 deg, intensity 27; d 2.100, 43.07 deg, intensity 78

Cell and atoms:
a = 7.261 Å, b = 2.895 Å, c = 16.866 Å
α = 90.00°, β = 90.00°, γ = 90.00°
Fractional positions:
Be (0.211, 0.250, 0.060)
Be (0.289, 0.750, 0.560)
Be (0.711, 0.250, 0.440)
Be (0.789, 0.750, 0.940)
Pd (0.040, 0.250, 0.565)
Pd (0.088, 0.750, 0.706)
Pd (0.104, 0.750, 0.156)
Pd (0.138, 0.750, 0.957)
Pd (0.362, 0.250, 0.457)
Pd (0.396, 0.250, 0.656)
Pd (0.412, 0.250, 0.206)
Pd (0.460, 0.750, 0.065)
Pd (0.540, 0.250, 0.935)
Pd (0.588, 0.750, 0.794)
Pd (0.604, 0.750, 0.344)
Pd (0.638, 0.750, 0.543)
Pd (0.862, 0.250, 0.043)
Pd (0.896, 0.250, 0.844)
Pd (0.912, 0.250, 0.294)
Pd (0.960, 0.750, 0.435)
Au (0.231, 0.750, 0.322)
Au (0.269, 0.250, 0.822)
Au (0.731, 0.750, 0.178)
Au (0.769, 0.250, 0.678)

Theoretical powder diffractogram of PrBe2Pd5Au for Cu Kα, 1.54184 Å, from a structure optimized by DFT (GGA-PBE).
Lines closer than 0.1° are merged.

Main lines, sorted by position (2θ from 10° to 80°):
d 4.486, 19.79 deg, intensity 16; d 3.818, 23.30 deg, intensity 12; d 2.825, 31.67 deg, intensity 12; d 2.391, 37.63 deg, intensity 100; d 2.243, 40.21 deg, intensity 46; d 1.819, 50.16 deg, intensity 9; d 1.757, 52.06 deg, intensity 6; d 1.586, 58.17 deg, intensity 15; d 1.413, 66.15 deg, intensity 16; d 1.322, 71.37 deg, intensity 33

Cell and atoms:
a = 4.486 Å, b = 4.486 Å, c = 7.275 Å
α = 90.00°, β = 90.00°, γ = 90.00°
Fractional positions:
Pr (0.000, 0.000, 0.000)
Be (0.500, 0.500, 0.331)
Be (0.500, 0.500, 0.669)
Pd (0.000, 0.500, 0.277)
Pd (0.000, 0.500, 0.723)
Pd (0.500, 0.000, 0.277)
Pd (0.500, 0.000, 0.723)
Pd (0.500, 0.500, 0.000)
Au (0.000, 0.000, 0.500)

Theoretical powder diffractogram of Pr3Be2Pd9Au for Cu Kα, 1.54184 Å, from a structure optimized by DFT (GGA-PBE).
Lines closer than 0.1° are merged.

Main lines, sorted by position (2θ from 10° to 80°):
d 3.424, 26.03 deg, intensity 16; d 3.057, 29.21 deg, intensity 17; d 2.738, 32.71 deg, intensity 89; d 2.378, 37.83 deg, intensity 21; d 2.280, 39.52 deg, intensity 100; d 2.241, 40.24 deg, intensity 12; d 1.712, 53.53 deg, intensity 34; d 1.528, 60.58 deg, intensity 26; d 1.389, 67.40 deg, intensity 16; d 1.369, 68.55 deg, intensity 15

Cell and atoms:
a = 6.847 Å, b = 6.847 Å, c = 7.135 Å
α = 90.00°, β = 90.00°, γ = 120.00°
Fractional positions:
Pr (0.000, 0.000, 0.000)
Pr (0.333, 0.667, 0.664)
Pr (0.667, 0.333, 0.336)
Be (0.333, 0.667, 0.122)
Be (0.667, 0.333, 0.878)
Pd (0.000, 0.500, 0.000)
Pd (0.192, 0.384, 0.318)
Pd (0.192, 0.808, 0.318)
Pd (0.384, 0.192, 0.682)
Pd (0.500, 0.000, 0.000)
Pd (0.500, 0.500, 0.000)
Pd (0.616, 0.808, 0.318)
Pd (0.808, 0.192, 0.682)
Pd (0.808, 0.616, 0.682)
Au (0.000, 0.000, 0.500)

Theoretical powder diffractogram of YBe2Pd2Au for Cu Kα, 1.54184 Å, from a structure optimized by DFT (GGA-PBE).
Lines closer than 0.1° are merged.

Main lines, sorted by position (2θ from 10° to 80°):
d 5.613, 15.79 deg, intensity 12; d 3.404, 26.18 deg, intensity 12; d 3.027, 29.51 deg, intensity 96; d 2.664, 33.64 deg, intensity 5; d 2.347, 38.35 deg, intensity 100; d 2.140, 42.22 deg, intensity 40; d 1.581, 58.35 deg, intensity 58; d 1.513, 61.25 deg, intensity 13; d 1.354, 69.43 deg, intensity 16; d 1.273, 74.57 deg, intensity 27

Cell and atoms:
a = 4.281 Å, b = 4.281 Å, c = 5.613 Å
α = 90.00°, β = 90.00°, γ = 90.00°
Fractional positions:
Y (0.000, 0.000, 0.000)
Be (0.000, 0.500, 0.500)
Be (0.500, 0.000, 0.500)
Pd (0.500, 0.500, 0.251)
Pd (0.500, 0.500, 0.749)
Au (0.000, 0.000, 0.500)

Please write out number 10 again, unchanged.
Theoretical powder diffractogram of PrBe2Pd5Au for Cu Kα, 1.54184 Å, from a structure optimized by DFT (GGA-PBE).
Lines closer than 0.1° are merged.

Main lines, sorted by position (2θ from 10° to 80°):
d 4.486, 19.79 deg, intensity 16; d 3.818, 23.30 deg, intensity 12; d 2.825, 31.67 deg, intensity 12; d 2.391, 37.63 deg, intensity 100; d 2.243, 40.21 deg, intensity 46; d 1.819, 50.16 deg, intensity 9; d 1.757, 52.06 deg, intensity 6; d 1.586, 58.17 deg, intensity 15; d 1.413, 66.15 deg, intensity 16; d 1.322, 71.37 deg, intensity 33

Cell and atoms:
a = 4.486 Å, b = 4.486 Å, c = 7.275 Å
α = 90.00°, β = 90.00°, γ = 90.00°
Fractional positions:
Pr (0.000, 0.000, 0.000)
Be (0.500, 0.500, 0.331)
Be (0.500, 0.500, 0.669)
Pd (0.000, 0.500, 0.277)
Pd (0.000, 0.500, 0.723)
Pd (0.500, 0.000, 0.277)
Pd (0.500, 0.000, 0.723)
Pd (0.500, 0.500, 0.000)
Au (0.000, 0.000, 0.500)